Record 1
Starting from a GGA+U-relaxed structure, the powder X-ray diffraction pattern of Li12CrGa11O24 was simulated for Cu Kα X-rays.

The 6 most intense peaks (2θ = 5–70°), sorted by position:
21.17 deg, I 42; 21.30 deg, I 40; 22.30 deg, I 100; 35.38 deg, I 45; 36.78 deg, I 27; 36.93 deg, I 27

Crystal structure
Cell lengths 7.4790, 8.2011, 9.8614 Å; angles 78.88, 86.67, 65.45 degrees
Sites, in units of the cell vectors:
Li (0.0000, 0.0000, 0.0000)
Li (0.0256, 0.6121, 0.1390)
Li (0.1099, 0.9450, 0.5554)
Li (0.2512, 0.0003, 0.2510)
Li (0.3331, 0.3333, 0.6667)
Li (0.3591, 0.9463, 0.8052)
Li (0.4406, 0.2799, 0.2209)
Li (0.5799, 0.3358, 0.9162)
Li (0.6662, 0.6667, 0.3334)
Li (0.6923, 0.2788, 0.4737)
Li (0.7755, 0.6116, 0.8890)
Li (0.9157, 0.6673, 0.5842)
Cr (0.8294, 0.3346, 0.1672)
Ga (0.0874, 0.3330, 0.4168)
Ga (0.1666, 0.6695, 0.8326)
Ga (0.1966, 0.2779, 0.9701)
Ga (0.2769, 0.6151, 0.3877)
Ga (0.4118, 0.6725, 0.0805)
Ga (0.5020, 0.0025, 0.4988)
Ga (0.5278, 0.6130, 0.6370)
Ga (0.6105, 0.9478, 0.0545)
Ga (0.7517, 0.0005, 0.7491)
Ga (0.8644, 0.9439, 0.3037)
Ga (0.9435, 0.2813, 0.7214)
O (0.0461, 0.7925, 0.4453)
O (0.0634, 0.3993, 0.5900)
O (0.1205, 0.1442, 0.8691)
O (0.1637, 0.7357, 0.0046)
O (0.2112, 0.4626, 0.3013)
O (0.2453, 0.0825, 0.4316)
O (0.3032, 0.4166, 0.8466)
O (0.3038, 0.7785, 0.7092)
O (0.3801, 0.1268, 0.1107)
O (0.3970, 0.7322, 0.2559)
O (0.4541, 0.4777, 0.5357)
O (0.5032, 0.0656, 0.6719)
O (0.5440, 0.7969, 0.9672)
O (0.5638, 0.4245, 0.0933)
O (0.6379, 0.7496, 0.5139)
O (0.6388, 0.1126, 0.3742)
O (0.7125, 0.4604, 0.7772)
O (0.7291, 0.0671, 0.9226)
O (0.7871, 0.8108, 0.2026)
O (0.8383, 0.3965, 0.3423)
O (0.8784, 0.1288, 0.6345)
O (0.9096, 0.7495, 0.7647)
O (0.9711, 0.4426, 0.0420)
O (0.9831, 0.0744, 0.1833)

---

Record 2
Starting from a GGA+U-relaxed structure, the powder X-ray diffraction pattern of Li3Cr3GaO8 was simulated for Cu Kα X-rays.

The 6 most intense peaks (2θ = 5–70°), sorted by position:
18.20 deg, I 100; 35.41 deg, I 13; 35.69 deg, I 25; 42.82 deg, I 23; 43.25 deg, I 22; 43.32 deg, I 22

Crystal structure
Cell lengths 5.1823, 5.9195, 10.6327 Å; angles 105.77, 94.70, 107.15 degrees
Sites, in units of the cell vectors:
Li (0.0000, 0.0000, 0.0000)
Li (0.0007, 0.5030, 0.9994)
Li (0.0023, 0.7647, 0.5014)
Li (0.0049, 0.6281, 0.7473)
Li (0.0057, 0.3726, 0.2450)
Li (0.9977, 0.2387, 0.4994)
Cr (0.4878, 0.5568, 0.8709)
Cr (0.4931, 0.3089, 0.3726)
Cr (0.4969, 0.8129, 0.3710)
Cr (0.5026, 0.0632, 0.8725)
Cr (0.5129, 0.6927, 0.6236)
Cr (0.5161, 0.4446, 0.1240)
Ga (0.5005, 0.9377, 0.1239)
Ga (0.5093, 0.1862, 0.6272)
O (0.2724, 0.7865, 0.9368)
O (0.2786, 0.5327, 0.4363)
O (0.2860, 0.0496, 0.4412)
O (0.2889, 0.1745, 0.1885)
O (0.2893, 0.4228, 0.6907)
O (0.2898, 0.6591, 0.1836)
O (0.2900, 0.9084, 0.6855)
O (0.2909, 0.2982, 0.9392)
O (0.7121, 0.0991, 0.3117)
O (0.7118, 0.5737, 0.3143)
O (0.7135, 0.8239, 0.8143)
O (0.7157, 0.3484, 0.8117)
O (0.7171, 0.7104, 0.0468)
O (0.7231, 0.9606, 0.5523)
O (0.7272, 0.4599, 0.5551)
O (0.7316, 0.2115, 0.0590)